For Mn7CrO16, a structure optimized by DFT (GGA+U) gives the calculated powder X-ray diffraction pattern in this record (Cu Kα (λ = 1.5418 Å)).

Atomic structure:
abc: 5.8398 5.8370 8.2366
angles: 90.00 90.17 90.00
Fractional positions:
Mn 0.0000 0.0000 0.0000
Mn 0.0000 0.5000 0.5000
Mn 0.2502 0.2499 0.2505
Mn 0.2502 0.7501 0.2505
Mn 0.5000 0.0000 0.0000
Mn 0.7498 0.2499 0.7495
Mn 0.7498 0.7501 0.7495
Cr 0.5000 0.5000 0.5000
O 0.0307 0.0000 0.2353
O 0.0312 0.5000 0.2645
O 0.2491 0.2795 0.4857
O 0.2491 0.7205 0.4857
O 0.2500 0.2198 0.0150
O 0.2500 0.7802 0.0150
O 0.4701 0.0000 0.2354
O 0.4726 0.5000 0.2658
O 0.5274 0.5000 0.7342
O 0.5299 0.0000 0.7646
O 0.7500 0.2198 0.9850
O 0.7500 0.7802 0.9850
O 0.7509 0.2795 0.5143
O 0.7509 0.7205 0.5143
O 0.9693 0.0000 0.7647
O 0.9688 0.5000 0.7355

Most intense lines, 10° ≤ 2θ ≤ 90°, in order of falling intensity:
hkl 1 0 1, d 4.763, rel. 1000
hkl 2 2 0, d 2.064, rel. 329
hkl 1 0 -3, d 2.489, rel. 255
hkl 4 0 0, d 1.459, rel. 169
hkl 0 0 4, d 2.059, rel. 163
hkl 3 2 1, d 1.589, rel. 101
hkl 2 2 4, d 1.456, rel. 84
hkl 0 1 3, d 2.484, rel. 83
hkl 3 2 -3, d 1.396, rel. 78
hkl 0 2 2, d 2.383, rel. 66
hkl 3 0 -1, d 1.894, rel. 61
hkl 0 1 5, d 1.586, rel. 44